[1]
Structure and simulated X-ray diffraction stick pattern of TmSbO4 (a cell relaxed with GGA-PBE; copper Kα).
Lines closer than 0.1° are merged.

Cell and atoms:
Lattice parameters (Å, degrees): 5.3461 7.5250 7.6281 81.16 88.49 89.07
Space group P-1 (No. 2)
Asymmetric unit:
Tm (0.2176, 0.3858, 0.3438) (multiplicity 2)
Tm (0.2588, 0.8746, 0.3573) (multiplicity 2)
Sb (0.2386, 0.3075, 0.8396) (multiplicity 2)
Sb (0.2667, 0.8089, 0.8318) (multiplicity 2)
O (0.0173, 0.1167, 0.3240) (multiplicity 2)
O (0.0431, 0.3291, 0.6128) (multiplicity 2)
O (0.0872, 0.8119, 0.0660) (multiplicity 2)
O (0.1166, 0.5618, 0.8339) (multiplicity 2)
O (0.3906, 0.0610, 0.8176) (multiplicity 2)
O (0.4012, 0.3000, 0.0744) (multiplicity 2)
O (0.4604, 0.6164, 0.3015) (multiplicity 2)
O (0.4651, 0.8072, 0.6043) (multiplicity 2)

Peak list (10 most intense, 10° ≤ 2θ ≤ 80°, in order of falling intensity)
h k l, two_theta, I (rel.)
1 0 2, 28.7, 100
1 0 -2, 29.3, 96
1 2 0, 29.1, 87
1 -2 0, 29.4, 77
2 0 0, 33.5, 55
0 2 -2, 36.5, 33
0 2 2, 31.1, 33
0 0 2, 23.6, 32
2 2 -2, 50.6, 28
-1 2 1, 30.5, 25



[2]
Structure and simulated X-ray diffraction stick pattern of CaMg6Zr (a cell relaxed with GGA-PBE; copper Kα).
Lines closer than 0.1° are merged.

Cell and atoms:
Lattice parameters (Å, degrees): 5.2172 6.6837 11.2437 90.00 90.00 90.00
Space group Amm2 (No. 38)
Asymmetric unit:
Ca (0.0000, 0.0000, 0.0000) (multiplicity 2)
Mg (0.0000, 0.0000, 0.4965) (multiplicity 2)
Mg (0.0000, 0.2375, 0.7486) (multiplicity 4)
Mg (0.5000, 0.0000, 0.3185) (multiplicity 2)
Mg (0.5000, 0.2440, 0.5733) (multiplicity 4)
Zr (0.5000, 0.0000, 0.8135) (multiplicity 2)

Peak list (10 most intense, 10° ≤ 2θ ≤ 80°, in order of falling intensity)
h k l, two_theta, I (rel.)
1 2 2, 35.7, 100
0 1 1, 15.4, 36
1 0 4, 36.3, 34
2 0 0, 34.4, 34
2 2 6, 67.6, 25
0 0 4, 31.8, 21
3 2 2, 62.4, 18
0 2 2, 31.1, 18
1 1 1, 23.0, 16
1 0 2, 23.3, 15



[3]
Structure and simulated X-ray diffraction stick pattern of LiFeCuS2 (a cell relaxed with GGA-PBE; copper Kα).
Lines closer than 0.1° are merged.

Cell and atoms:
Lattice parameters (Å, degrees): 3.8075 3.8075 6.2580 90.00 90.00 120.00
Space group P3m1 (No. 156)
Asymmetric unit:
Li (0.0000, 0.0000, 0.0000) (multiplicity 1)
Fe (0.3333, 0.6667, 0.6100) (multiplicity 1)
Cu (0.6667, 0.3333, 0.3504) (multiplicity 1)
S (0.3333, 0.6667, 0.2348) (multiplicity 1)
S (0.6667, 0.3333, 0.7430) (multiplicity 1)

Peak list (10 most intense, 10° ≤ 2θ ≤ 80°, in order of falling intensity)
h k l, two_theta, I (rel.)
0 1 2, 39.7, 100
0 0 1, 14.2, 98
1 0 0, 27.0, 85
1 1 0, 47.8, 75
0 1 3, 51.9, 52
1 0 1, 30.6, 40
1 1 1, 50.1, 22
2 0 2, 63.8, 22
2 0 3, 73.2, 17
0 0 2, 28.5, 15



[4]
Structure and simulated X-ray diffraction stick pattern of Ho4Co3 (a cell relaxed with GGA-PBE; copper Kα).
Lines closer than 0.1° are merged.

Cell and atoms:
Lattice parameters (Å, degrees): 4.0218 11.2232 11.2244 119.97 90.00 90.00
Space group P-1 (No. 2)
Asymmetric unit:
Ho (0.2490, 0.0152, 0.1357) (multiplicity 2)
Ho (0.2490, 0.1204, 0.4848) (multiplicity 2)
Ho (0.2488, 0.2758, 0.0239) (multiplicity 2)
Ho (0.2491, 0.3643, 0.3795) (multiplicity 2)
Ho (0.2488, 0.4761, 0.7519) (multiplicity 2)
Ho (0.2488, 0.7482, 0.2243) (multiplicity 2)
Co (0.0000, 0.5000, 0.0000) (multiplicity 1)
Co (0.2487, 0.0622, 0.7179) (multiplicity 2)
Co (0.2487, 0.6557, 0.4378) (multiplicity 2)
Co (0.2488, 0.7820, 0.8443) (multiplicity 2)
Co (0.2496, 0.8334, 0.6668) (multiplicity 2)

Peak list (10 most intense, 10° ≤ 2θ ≤ 80°, in order of falling intensity)
h k l, two_theta, I (rel.)
1 1 2, 33.0, 100
0 1 3, 33.2, 36
1 3 0, 35.6, 28
1 2 5, 64.1, 22
0 5 -4, 42.6, 20
2 0 0, 45.1, 17
2 4 -1, 57.1, 13
1 6 -4, 54.9, 11
1 -2 4, 39.1, 11
2 4 1, 63.8, 9



[5]
Structure and simulated X-ray diffraction stick pattern of NiNCl3 (a cell relaxed with GGA-PBE; copper Kα).
Lines closer than 0.1° are merged.

Cell and atoms:
Lattice parameters (Å, degrees): 6.2768 6.2768 5.6965 90.00 90.00 120.00
Space group P6_3/mmc (No. 194)
Asymmetric unit:
Ni (0.0000, 0.0000, 0.0000) (multiplicity 2)
N (0.3333, 0.6667, 0.2500) (multiplicity 2)
Cl (0.1639, 0.3279, 0.7500) (multiplicity 6)

Peak list (10 most intense, 10° ≤ 2θ ≤ 80°, in order of falling intensity)
h k l, two_theta, I (rel.)
1 0 0, 16.3, 100
2 0 1, 36.6, 44
2 0 2, 46.2, 31
1 1 2, 42.9, 20
2 2 0, 58.8, 15
2 1 0, 44.1, 12
1 0 2, 35.6, 12
2 0 3, 59.4, 9
2 1 2, 55.1, 8
1 1 0, 28.4, 8



[6]
Structure and simulated X-ray diffraction stick pattern of La2B8O15 (a cell relaxed with GGA-PBE; copper Kα).
Lines closer than 0.1° are merged.

Cell and atoms:
Lattice parameters (Å, degrees): 9.2656 4.2558 12.6162 90.00 116.65 90.00
Space group P2/c (No. 13)
Asymmetric unit:
La (0.1437, 0.2352, 0.4481) (multiplicity 4)
B (0.1072, 0.2857, 0.7044) (multiplicity 4)
B (0.2840, 0.2309, 0.2345) (multiplicity 4)
B (0.4048, 0.2822, 0.8733) (multiplicity 4)
B (0.4154, 0.2078, 0.0867) (multiplicity 4)
O (0.0000, 0.1527, 0.7500) (multiplicity 2)
O (0.0290, 0.2409, 0.5789) (multiplicity 4)
O (0.1416, 0.3790, 0.2352) (multiplicity 4)
O (0.2755, 0.1184, 0.7642) (multiplicity 4)
O (0.2888, 0.2729, 0.1229) (multiplicity 4)
O (0.3401, 0.3083, 0.9605) (multiplicity 4)
O (0.4266, 0.3779, 0.3390) (multiplicity 4)
O (0.4450, 0.1279, 0.5915) (multiplicity 4)

Peak list (10 most intense, 10° ≤ 2θ ≤ 80°, in order of falling intensity)
h k l, two_theta, I (rel.)
2 1 1, 33.6, 100
2 0 -4, 29.3, 78
1 0 0, 10.7, 77
1 1 -3, 29.9, 69
2 1 -1, 28.5, 67
1 1 -1, 23.2, 55
0 0 2, 15.7, 52
3 1 -5, 44.3, 37
1 0 2, 22.7, 35
0 2 0, 42.5, 33



[7]
Structure and simulated X-ray diffraction stick pattern of MgH12Br2O6 (a cell relaxed with GGA-PBE; copper Kα).
Lines closer than 0.1° are merged.

Cell and atoms:
Lattice parameters (Å, degrees): 10.5683 7.5554 6.3026 90.00 93.65 90.00
Space group C2/m (No. 12)
Asymmetric unit:
Mg (0.0000, 0.0000, 0.0000) (multiplicity 2)
H (0.0208, 0.2918, 0.2597) (multiplicity 8)
H (0.1059, 0.1901, 0.6866) (multiplicity 8)
H (0.2287, 0.0000, 0.2453) (multiplicity 4)
H (0.2472, 0.5000, 0.0039) (multiplicity 4)
Br (0.1808, 0.5000, 0.3823) (multiplicity 4)
O (0.0393, 0.1973, 0.7865) (multiplicity 8)
O (0.1881, 0.0000, 0.1008) (multiplicity 4)

Peak list (10 most intense, 10° ≤ 2θ ≤ 80°, in order of falling intensity)
h k l, two_theta, I (rel.)
1 1 1, 20.6, 100
2 2 -1, 32.0, 41
3 1 0, 28.0, 40
2 2 0, 29.1, 37
2 0 -1, 21.3, 35
1 1 -2, 31.5, 35
0 2 0, 23.6, 31
1 1 2, 32.5, 30
2 0 -2, 32.2, 27
1 3 -2, 46.7, 21



[8]
Structure and simulated X-ray diffraction stick pattern of NaSb3O8 (a cell relaxed with GGA-PBE; copper Kα).
Lines closer than 0.1° are merged.

Cell and atoms:
Lattice parameters (Å, degrees): 5.7692 4.8633 10.6876 90.00 97.21 90.00
Space group P2_1/c (No. 14)
Asymmetric unit:
Na (0.0000, 0.0000, 0.0000) (multiplicity 2)
Sb (0.2415, 0.0260, 0.7501) (multiplicity 4)
Sb (0.5000, 0.0000, 0.5000) (multiplicity 2)
O (0.0013, 0.2014, 0.1853) (multiplicity 4)
O (0.2357, 0.6488, 0.0814) (multiplicity 4)
O (0.2943, 0.2105, 0.9157) (multiplicity 4)
O (0.4829, 0.7269, 0.8278) (multiplicity 4)

Peak list (10 most intense, 10° ≤ 2θ ≤ 80°, in order of falling intensity)
h k l, two_theta, I (rel.)
1 1 1, 26.1, 100
1 1 -3, 33.6, 56
0 0 4, 33.8, 18
1 3 -3, 64.5, 16
1 1 5, 51.4, 16
3 1 -1, 51.1, 16
0 2 4, 51.0, 16
2 2 2, 53.7, 16
2 2 -2, 50.9, 16
0 1 1, 20.1, 13



[9]
Structure and simulated X-ray diffraction stick pattern of K2ScInI6 (a cell relaxed with GGA-PBE; copper Kα).
Lines closer than 0.1° are merged.

Cell and atoms:
Lattice parameters (Å, degrees): 12.4046 12.4046 12.4046 90.00 90.00 90.00
Space group Fm-3m (No. 225)
Asymmetric unit:
K (0.2500, 0.2500, 0.2500) (multiplicity 8)
Sc (0.0000, 0.0000, 0.0000) (multiplicity 4)
In (0.0000, 0.0000, 0.5000) (multiplicity 4)
I (0.0000, 0.0000, 0.2334) (multiplicity 24)

Peak list (10 most intense, 10° ≤ 2θ ≤ 80°, in order of falling intensity)
h k l, two_theta, I (rel.)
4 0 0, 28.8, 100
2 2 2, 24.9, 88
4 4 0, 41.2, 71
2 0 0, 14.3, 63
6 2 2, 48.7, 36
4 2 0, 32.3, 31
8 4 0, 67.5, 28
4 4 4, 51.0, 24
8 4 4, 75.0, 19
6 0 0, 43.8, 16



[10]
Structure and simulated X-ray diffraction stick pattern of Pr2MgS4 (a cell relaxed with GGA-PBE; copper Kα).
Lines closer than 0.1° are merged.

Cell and atoms:
Lattice parameters (Å, degrees): 8.3197 7.1355 11.8587 90.00 90.00 90.00
Space group Pnma (No. 62)
Asymmetric unit:
Pr (0.0297, 0.2500, 0.1837) (multiplicity 4)
Pr (0.0922, 0.7500, 0.4601) (multiplicity 4)
Mg (0.1958, 0.7500, 0.0813) (multiplicity 4)
S (0.0824, 0.2500, 0.9410) (multiplicity 4)
S (0.1456, 0.5081, 0.6525) (multiplicity 8)
S (0.2020, 0.2500, 0.3910) (multiplicity 4)

Peak list (10 most intense, 10° ≤ 2θ ≤ 80°, in order of falling intensity)
h k l, two_theta, I (rel.)
1 2 3, 35.6, 100
0 2 0, 25.0, 85
1 1 2, 22.2, 44
0 1 1, 14.5, 37
0 4 0, 51.2, 34
0 1 3, 25.8, 30
2 1 2, 29.1, 27
0 1 5, 40.1, 24
2 2 0, 33.1, 24
2 2 1, 34.0, 21



> Which formula does entry 1 have?

TmSbO4